For TbDy2V, a crystal structure in Alexandria, relaxed with PBE gives the theoretical PXRD pattern in this record (λ = 1.5418 Å (Cu Kα)).

Largest 10 diffraction maxima, in order of rising 2θ, 2θ from 10° to 80°:
2θ = 30.74°, I = 218
2θ = 31.07°, I = 1000
2θ = 31.30°, I = 648
2θ = 33.36°, I = 839
2θ = 35.80°, I = 765
2θ = 40.58°, I = 400
2θ = 48.52°, I = 337
2θ = 54.43°, I = 409
2θ = 64.15°, I = 492
2θ = 65.34°, I = 200

Atomic structure:
abc: 11.595 11.595 11.595
angles: 16.72 16.72 16.72
Element x y z (fractional)
Tb 0.000 0.000 0.000
Dy 0.418 0.418 0.418
Dy 0.582 0.582 0.582
V 0.500 0.500 0.500